1.
Pr2Ni5P4: calculated powder diffractogram (λ = 1.5418 Å (Cu Kα)), based on a DFT-relaxed cell (GGA-PBE, Alexandria).

Structural model:
```
data_Pr2Ni5P4
_chemical_formula_sum 'Pr8 Ni20 P16'
_cell_length_a 5.429
_cell_length_b 9.747
_cell_length_c 12.737
_cell_angle_alpha 90.00
_cell_angle_beta 90.00
_cell_angle_gamma 90.00
_space_group_name_H-M_alt 'F m m m'
_space_group_IT_number 69
_space_group_name_Hall '-F 2 2'
loop_
_atom_site_label
_atom_site_fract_x
_atom_site_fract_y
_atom_site_fract_z
Pr1 0.000 0.000 0.144
Ni1 0.000 0.000 0.500
Ni2 0.250 0.250 0.000
Ni3 0.250 0.250 0.250
P1 0.000 0.156 0.371
```

Peak list (8 most intense, 15 to 90 degrees two-theta, in order of falling intensity)
2.330 Å, 38.6 deg, I = 100, (1 3 3)
3.163 Å, 28.2 deg, I = 100, (1 1 3)
2.371 Å, 37.9 deg, I = 98, (2 2 0)
2.666 Å, 33.6 deg, I = 69, (0 2 4)
2.066 Å, 43.8 deg, I = 65, (2 0 4)
2.437 Å, 36.9 deg, I = 46, (0 4 0)
2.723 Å, 32.9 deg, I = 34, (1 3 1)
1.394 Å, 67.2 deg, I = 28, (2 6 0)

=====

2.
PrNi3P2: calculated powder diffractogram (λ = 1.5418 Å (Cu Kα)), based on a DFT-relaxed cell (GGA-PBE, Alexandria).

Structural model:
```
data_PrNi3P2
_chemical_formula_sum 'Pr6 Ni18 P12'
_cell_length_a 15.294
_cell_length_b 3.801
_cell_length_c 9.283
_cell_angle_alpha 90.00
_cell_angle_beta 106.69
_cell_angle_gamma 90.00
_space_group_name_H-M_alt 'C 1 2/m 1'
_space_group_IT_number 12
_space_group_name_Hall '-C 2y'
loop_
_atom_site_label
_atom_site_fract_x
_atom_site_fract_y
_atom_site_fract_z
Pr1 0.000 0.000 0.000
Pr2 0.153 0.000 0.702
Ni1 0.000 0.500 0.500
Ni2 0.050 0.000 0.344
Ni3 0.133 0.500 0.212
Ni4 0.176 0.500 0.971
Ni5 0.219 0.000 0.395
P1 0.026 0.500 0.774
P2 0.140 0.500 0.451
P3 0.201 0.000 0.128
```

Peak list (8 most intense, 15 to 90 degrees two-theta, in order of falling intensity)
2.394 Å, 37.6 deg, I = 100, (1 1 -3)
2.382 Å, 37.8 deg, I = 48, (5 1 -1)
1.900 Å, 47.9 deg, I = 43, (0 2 0)
2.701 Å, 33.2 deg, I = 42, (3 1 1)
2.719 Å, 32.9 deg, I = 25, (3 1 -2)
2.442 Å, 36.8 deg, I = 24, (6 0 0)
2.130 Å, 42.4 deg, I = 24, (5 1 1)
1.945 Å, 46.7 deg, I = 23, (6 0 -4)

=====

3.
Pr6Ni20P13: calculated powder diffractogram (λ = 1.5418 Å (Cu Kα)), based on a DFT-relaxed cell (GGA-PBE, Alexandria).

Structural model:
```
data_Pr6Ni20P13
_chemical_formula_sum 'Pr6 Ni20 P13'
_cell_length_a 12.8294
_cell_length_b 12.8294
_cell_length_c 3.8628
_cell_angle_alpha 90.00
_cell_angle_beta 90.00
_cell_angle_gamma 120.00
_space_group_name_H-M_alt 'P -6'
_space_group_IT_number 174
_space_group_name_Hall 'P -6'
loop_
_atom_site_label
_atom_site_fract_x
_atom_site_fract_y
_atom_site_fract_z
Pr1 0.0515 0.8515 0.0000
Pr2 0.5186 0.1339 0.5000
Ni1 0.0000 0.0000 0.5000
Ni2 0.0228 0.5969 0.0000
Ni3 0.0946 0.3498 0.5000
Ni4 0.1408 0.5618 0.5000
Ni5 0.2576 0.7349 0.0000
Ni6 0.3085 0.0757 0.0000
Ni7 0.3572 0.2516 0.5000
Ni8 0.6667 0.3333 0.0000
P1 0.0624 0.4353 0.0000
P2 0.0969 0.7080 0.5000
P3 0.2003 0.0525 0.5000
P4 0.3333 0.6667 0.5000
P5 0.4654 0.2797 0.0000
```

Peak list (8 most intense, 15 to 90 degrees two-theta, in order of falling intensity)
2.409 Å, 37.3 deg, I = 100, (1 3 1)
1.931 Å, 47.1 deg, I = 24, (0 0 2)
2.468 Å, 36.4 deg, I = 21, (2 2 1)
1.779 Å, 51.4 deg, I = 17, (5 2 0)
2.425 Å, 37.1 deg, I = 15, (4 1 0)
1.616 Å, 57.0 deg, I = 14, (2 5 1)
1.996 Å, 45.5 deg, I = 12, (5 1 0)
2.100 Å, 43.1 deg, I = 12, (4 2 0)

=====

4.
Pr2Ni3P4: calculated powder diffractogram (λ = 1.5418 Å (Cu Kα)), based on a DFT-relaxed cell (GGA-PBE, Alexandria).

Structural model:
```
data_Pr2Ni3P4
_chemical_formula_sum 'Pr2 Ni3 P4'
_cell_length_a 3.979
_cell_length_b 3.979
_cell_length_c 9.333
_cell_angle_alpha 90.00
_cell_angle_beta 90.00
_cell_angle_gamma 90.00
_space_group_name_H-M_alt 'P -4 m 2'
_space_group_IT_number 115
_space_group_name_Hall 'P -4 -2'
loop_
_atom_site_label
_atom_site_fract_x
_atom_site_fract_y
_atom_site_fract_z
Pr1 0.000 0.500 0.238
Ni1 0.000 0.000 0.000
Ni2 0.000 0.000 0.500
Ni3 0.500 0.500 0.500
P1 0.000 0.500 0.623
P2 0.000 0.500 0.878
```

Peak list (8 most intense, 15 to 90 degrees two-theta, in order of falling intensity)
2.410 Å, 37.3 deg, I = 100, (1 1 2)
2.451 Å, 36.7 deg, I = 65, (1 0 3)
3.660 Å, 24.3 deg, I = 57, (1 0 1)
1.990 Å, 45.6 deg, I = 45, (2 0 0)
1.545 Å, 59.9 deg, I = 30, (2 1 3)
1.215 Å, 78.8 deg, I = 21, (3 1 2)
1.690 Å, 54.3 deg, I = 18, (1 0 5)
2.814 Å, 31.8 deg, I = 15, (1 1 0)

=====

5.
PrNi12P6: calculated powder diffractogram (λ = 1.5418 Å (Cu Kα)), based on a DFT-relaxed cell (GGA-PBE, Alexandria).

Structural model:
```
data_PrNi12P6
_chemical_formula_sum 'Pr3 Ni36 P18'
_cell_length_a 10.1809
_cell_length_b 10.1809
_cell_length_c 8.1211
_cell_angle_alpha 90.00
_cell_angle_beta 90.00
_cell_angle_gamma 120.00
_space_group_name_H-M_alt 'R -3 m'
_space_group_IT_number 166
_space_group_name_Hall '-R 3 2"'
loop_
_atom_site_label
_atom_site_fract_x
_atom_site_fract_y
_atom_site_fract_z
Pr1 0.0000 0.0000 0.0000
Ni1 0.0000 0.3714 0.5000
Ni2 0.0925 0.1850 0.3646
P1 0.0429 0.5214 0.2854
```

Peak list (8 most intense, 15 to 90 degrees two-theta, in order of falling intensity)
2.342 Å, 38.4 deg, I = 100, (1 3 1)
2.390 Å, 37.6 deg, I = 50, (1 1 3)
1.991 Å, 45.6 deg, I = 30, (3 0 3)
1.617 Å, 56.9 deg, I = 26, (5 0 2)
1.697 Å, 54.0 deg, I = 25, (3 3 0)
3.083 Å, 29.0 deg, I = 25, (2 1 1)
2.095 Å, 43.2 deg, I = 23, (3 1 2)
2.987 Å, 29.9 deg, I = 21, (2 0 2)

=====

6.
Pr2ZnNi4P3: calculated powder diffractogram (λ = 1.5418 Å (Cu Kα)), based on a DFT-relaxed cell (GGA-PBE, Alexandria).

Structural model:
```
data_Pr2ZnNi4P3
_chemical_formula_sum 'Pr2 Zn1 Ni4 P3'
_cell_length_a 4.041
_cell_length_b 4.041
_cell_length_c 9.470
_cell_angle_alpha 90.00
_cell_angle_beta 90.00
_cell_angle_gamma 90.00
_space_group_name_H-M_alt 'P -4 m 2'
_space_group_IT_number 115
_space_group_name_Hall 'P -4 -2'
loop_
_atom_site_label
_atom_site_fract_x
_atom_site_fract_y
_atom_site_fract_z
Pr1 0.000 0.500 0.244
Zn1 0.000 0.000 0.500
Ni1 0.000 0.000 0.000
Ni2 0.000 0.500 0.629
Ni3 0.500 0.500 0.000
P1 0.000 0.500 0.871
P2 0.500 0.500 0.500
```

Peak list (8 most intense, 15 to 90 degrees two-theta, in order of falling intensity)
2.447 Å, 36.7 deg, I = 100, (1 1 2)
2.488 Å, 36.1 deg, I = 64, (1 0 3)
2.021 Å, 44.9 deg, I = 51, (2 0 0)
1.568 Å, 58.9 deg, I = 30, (2 1 3)
3.717 Å, 23.9 deg, I = 24, (1 0 1)
1.715 Å, 53.4 deg, I = 22, (1 0 5)
1.234 Å, 77.3 deg, I = 21, (3 1 2)
1.308 Å, 72.3 deg, I = 18, (2 1 5)

=====

7.
Ni2PPt: calculated powder diffractogram (λ = 1.5418 Å (Cu Kα)), based on a DFT-relaxed cell (GGA-PBE, Alexandria).

Structural model:
```
data_Ni2PPt
_chemical_formula_sum 'Ni4 P2 Pt2'
_cell_length_a 3.507
_cell_length_b 6.682
_cell_length_c 4.525
_cell_angle_alpha 90.00
_cell_angle_beta 112.70
_cell_angle_gamma 90.00
_space_group_name_H-M_alt 'P 1 21/m 1'
_space_group_IT_number 11
_space_group_name_Hall '-P 2yb'
loop_
_atom_site_label
_atom_site_fract_x
_atom_site_fract_y
_atom_site_fract_z
Ni1 0.147 0.055 0.294
P1 0.265 0.750 0.530
Pt1 0.446 0.250 0.893
```

Peak list (8 most intense, 15 to 90 degrees two-theta, in order of falling intensity)
2.323 Å, 38.8 deg, I = 100, (1 2 -1)
2.073 Å, 43.7 deg, I = 51, (1 1 1)
2.180 Å, 41.4 deg, I = 32, (1 0 -2)
1.992 Å, 45.5 deg, I = 26, (0 1 2)
2.608 Å, 34.4 deg, I = 25, (0 2 1)
1.965 Å, 46.2 deg, I = 25, (0 3 1)
3.234 Å, 27.6 deg, I = 22, (1 0 -1)
1.754 Å, 52.2 deg, I = 22, (2 0 -1)

=====

8.
Ni6PPt: calculated powder diffractogram (λ = 1.5418 Å (Cu Kα)), based on a DFT-relaxed cell (GGA-PBE, Alexandria).

Structural model:
```
data_Ni6PPt
_chemical_formula_sum 'Ni18 P3 Pt3'
_cell_length_a 6.0774
_cell_length_b 6.0774
_cell_length_c 8.9567
_cell_angle_alpha 90.00
_cell_angle_beta 90.00
_cell_angle_gamma 120.00
_space_group_name_H-M_alt 'R -3'
_space_group_IT_number 148
_space_group_name_Hall '-R 3'
loop_
_atom_site_label
_atom_site_fract_x
_atom_site_fract_y
_atom_site_fract_z
Ni1 0.0295 0.7654 0.2322
P1 0.0000 0.0000 0.5000
Pt1 0.0000 0.0000 0.0000
```

Peak list (8 most intense, 15 to 90 degrees two-theta, in order of falling intensity)
2.130 Å, 42.4 deg, I = 100, (2 -1 3)
1.818 Å, 50.2 deg, I = 84, (1 2 2)
4.538 Å, 19.6 deg, I = 82, (1 0 1)
2.269 Å, 39.7 deg, I = 69, (2 0 2)
2.060 Å, 43.9 deg, I = 56, (1 0 4)
1.942 Å, 46.8 deg, I = 56, (2 1 1)
2.525 Å, 35.6 deg, I = 49, (0 2 1)
1.754 Å, 52.1 deg, I = 30, (3 0 0)

=====

9.
Sm2NiP3Pt4: calculated powder diffractogram (λ = 1.5418 Å (Cu Kα)), based on a DFT-relaxed cell (GGA-PBE, Alexandria).

Structural model:
```
data_Sm2NiP3Pt4
_chemical_formula_sum 'Sm2 Ni1 P3 Pt4'
_cell_length_a 4.236
_cell_length_b 4.236
_cell_length_c 9.689
_cell_angle_alpha 90.00
_cell_angle_beta 90.00
_cell_angle_gamma 90.00
_space_group_name_H-M_alt 'P -4 m 2'
_space_group_IT_number 115
_space_group_name_Hall 'P -4 -2'
loop_
_atom_site_label
_atom_site_fract_x
_atom_site_fract_y
_atom_site_fract_z
Sm1 0.000 0.500 0.246
Ni1 0.500 0.500 0.000
P1 0.000 0.000 0.000
P2 0.000 0.500 0.634
Pt1 0.000 0.000 0.500
Pt2 0.000 0.500 0.874
Pt3 0.500 0.500 0.500
```

Peak list (8 most intense, 15 to 90 degrees two-theta, in order of falling intensity)
2.548 Å, 35.2 deg, I = 100, (1 1 2)
2.118 Å, 42.7 deg, I = 71, (2 0 0)
2.862 Å, 31.3 deg, I = 60, (1 1 1)
2.568 Å, 34.9 deg, I = 60, (1 0 3)
1.763 Å, 51.9 deg, I = 32, (1 0 5)
1.634 Å, 56.3 deg, I = 31, (2 1 3)
3.189 Å, 28.0 deg, I = 27, (1 0 2)
1.884 Å, 48.3 deg, I = 26, (1 1 4)

=====

10.
Pu2NiP3: calculated powder diffractogram (λ = 1.5418 Å (Cu Kα)), based on a DFT-relaxed cell (GGA-PBE, Alexandria).

Structural model:
```
data_Pu2NiP3
_chemical_formula_sum 'Pu16 Ni8 P24'
_cell_length_a 7.652
_cell_length_b 7.771
_cell_length_c 14.165
_cell_angle_alpha 90.00
_cell_angle_beta 90.00
_cell_angle_gamma 90.00
_space_group_name_H-M_alt 'F m m m'
_space_group_IT_number 69
_space_group_name_Hall '-F 2 2'
loop_
_atom_site_label
_atom_site_fract_x
_atom_site_fract_y
_atom_site_fract_z
Pu1 0.000 0.234 0.000
Pu2 0.250 0.250 0.250
Ni1 0.000 0.000 0.339
P1 0.000 0.000 0.184
P2 0.249 0.000 0.411
```

Peak list (8 most intense, 15 to 90 degrees two-theta, in order of falling intensity)
2.544 Å, 35.3 deg, I = 100, (2 2 2)
2.617 Å, 34.3 deg, I = 55, (0 2 4)
3.366 Å, 26.5 deg, I = 54, (2 0 2)
2.009 Å, 45.1 deg, I = 33, (2 0 6)
3.541 Å, 25.1 deg, I = 30, (0 0 4)
1.544 Å, 59.9 deg, I = 23, (4 2 4)
1.683 Å, 54.5 deg, I = 22, (4 0 4)
3.885 Å, 22.9 deg, I = 22, (0 2 0)

=====

What did the tenth record say?
Pu2NiP3: calculated powder diffractogram (λ = 1.5418 Å (Cu Kα)), based on a DFT-relaxed cell (GGA-PBE, Alexandria).

Structural model:
```
data_Pu2NiP3
_chemical_formula_sum 'Pu16 Ni8 P24'
_cell_length_a 7.652
_cell_length_b 7.771
_cell_length_c 14.165
_cell_angle_alpha 90.00
_cell_angle_beta 90.00
_cell_angle_gamma 90.00
_space_group_name_H-M_alt 'F m m m'
_space_group_IT_number 69
_space_group_name_Hall '-F 2 2'
loop_
_atom_site_label
_atom_site_fract_x
_atom_site_fract_y
_atom_site_fract_z
Pu1 0.000 0.234 0.000
Pu2 0.250 0.250 0.250
Ni1 0.000 0.000 0.339
P1 0.000 0.000 0.184
P2 0.249 0.000 0.411
```

Peak list (8 most intense, 15 to 90 degrees two-theta, in order of falling intensity)
2.544 Å, 35.3 deg, I = 100, (2 2 2)
2.617 Å, 34.3 deg, I = 55, (0 2 4)
3.366 Å, 26.5 deg, I = 54, (2 0 2)
2.009 Å, 45.1 deg, I = 33, (2 0 6)
3.541 Å, 25.1 deg, I = 30, (0 0 4)
1.544 Å, 59.9 deg, I = 23, (4 2 4)
1.683 Å, 54.5 deg, I = 22, (4 0 4)
3.885 Å, 22.9 deg, I = 22, (0 2 0)